Simulated X-ray diffraction stick pattern of Nd2Zn6In3 for Cu Kα X-rays, from a DFT-relaxed cell (PBE, Alexandria).
Peak positions follow from Bragg's law for the DFT cell and can differ from measured ones.

Principal peaks in the range 2θ = 10–90°, low angle first:
| (hkl) | 2θ (°) | d (Å) | I_rel |
| --- | --- | --- | --- |
| 2 2 0 | 23.73 | 3.750 | 14 |
| 2 2 1 | 31.44 | 2.845 | 100 |
| 0 4 0 | 33.55 | 2.671 | 24 |
| 4 0 0 | 34.07 | 2.631 | 11 |
| 3 3 0 | 35.93 | 2.500 | 17 |
| 0 0 2 | 41.34 | 2.184 | 26 |
| 3 3 1 | 41.63 | 2.170 | 11 |
| 5 1 0 | 43.83 | 2.065 | 10 |
| 3 5 1 | 54.48 | 1.684 | 10 |
| 2 2 3 | 69.22 | 1.357 | 10 |

Atomic structure:
a = 10.5251 Å, b = 10.6880 Å, c = 4.3681 Å
α = 90.00°, β = 90.00°, γ = 90.00°
Space group Cmmm (No. 65)
Inequivalent atoms, fractional coordinates:
Nd 0.0000 0.2156 0.0000 [4 per cell]
Zn 0.1110 0.0000 0.5000 [4 per cell]
Zn 0.1968 0.3446 0.5000 [8 per cell]
In 0.0000 0.5000 0.5000 [2 per cell]
In 0.2271 0.5000 0.0000 [4 per cell]